(1)
Diffraction record for Dy3PuIn12. The X-ray powder pattern is computed, not measured: it uses a DFT-relaxed cell (GGA-PBE, Alexandria) and Cu Kα.

```
data_Dy3PuIn12
_symmetry_space_group_name_H-M 'P 1'
_symmetry_Int_Tables_number 1
_cell_length_a 4.6351
_cell_length_b 4.6351
_cell_length_c 18.6021
_cell_angle_alpha 90.00
_cell_angle_beta 90.00
_cell_angle_gamma 90.00
loop_
_symmetry_equiv_pos_as_xyz
'x,y,z'
loop_
_atom_site_label
_atom_site_fract_x
_atom_site_fract_y
_atom_site_fract_z
Dy1 0.0000 0.0000 0.0000
Dy2 0.0000 0.0000 0.2482
Dy3 0.0000 0.0000 0.7518
Pu1 0.0000 0.0000 0.5000
In1 0.0000 0.5000 0.1246
In2 0.0000 0.5000 0.3748
In3 0.0000 0.5000 0.6252
In4 0.0000 0.5000 0.8754
In5 0.5000 0.0000 0.1246
In6 0.5000 0.0000 0.3748
In7 0.5000 0.0000 0.6252
In8 0.5000 0.0000 0.8754
In9 0.5000 0.5000 0.0000
In10 0.5000 0.5000 0.2503
In11 0.5000 0.5000 0.5000
In12 0.5000 0.5000 0.7497
```

The 10 most intense peaks (2θ = 10–80°), in order of falling intensity:
33.45 deg, rel. 100; 38.86 deg, rel. 33; 66.94 deg, rel. 26; 56.02 deg, rel. 22; 38.72 deg, rel. 17; 66.75 deg, rel. 13; 70.27 deg, rel. 11; 56.12 deg, rel. 11; 19.13 deg, rel. 4; 27.18 deg, rel. 3

(2)
Diffraction record for Dy4InRe. The X-ray powder pattern is computed, not measured: it uses a DFT-relaxed cell (GGA-PBE, Alexandria) and Cu Kα.

```
data_Dy4InRe
_symmetry_space_group_name_H-M 'P 1'
_symmetry_Int_Tables_number 1
_cell_length_a 7.8937
_cell_length_b 7.8937
_cell_length_c 6.1448
_cell_angle_alpha 99.76
_cell_angle_beta 99.76
_cell_angle_gamma 112.72
loop_
_symmetry_equiv_pos_as_xyz
'x,y,z'
loop_
_atom_site_label
_atom_site_fract_x
_atom_site_fract_y
_atom_site_fract_z
Dy1 0.0608 0.7221 0.9509
Dy2 0.2012 0.3544 0.6144
Dy3 0.2779 0.9392 0.5491
Dy4 0.3544 0.2012 0.1144
Dy5 0.6456 0.7988 0.8856
Dy6 0.7221 0.0608 0.4509
Dy7 0.7988 0.6456 0.3856
Dy8 0.9392 0.2779 0.0491
In1 0.3754 0.6246 0.2500
In2 0.6246 0.3754 0.7500
Re1 0.0000 0.0000 0.2500
Re2 0.0000 0.0000 0.7500
```

The 10 most intense peaks (2θ = 10–80°), in order of falling intensity:
32.94 deg, rel. 100; 12.58 deg, rel. 69; 31.91 deg, rel. 67; 35.72 deg, rel. 58; 13.47 deg, rel. 40; 35.82 deg, rel. 39; 34.44 deg, rel. 33; 29.90 deg, rel. 33; 55.63 deg, rel. 31; 38.39 deg, rel. 30